Simulated powder diffractogram
Compound: LiThSeN
Radiation: copper Kα
Structure: a structure optimized by DFT (GGA-PBE)

Peak list (8 most intense, 2θ = 10–90°, low angle first)
25.3°, intensity 15, (1 0 1)
27.6°, intensity 100, (1 0 4)
33.6°, intensity 17, (0 0 12)
33.8°, intensity 48, (0 1 8)
44.4°, intensity 33, (1 1 0)
53.0°, intensity 17, (0 2 4)
56.8°, intensity 23, (1 1 12)
71.5°, intensity 14, (2 1 4)

Crystal structure
```
data_LiThSeN
_chemical_formula_sum 'Li6 Th6 Se6 N6'
_symmetry_space_group_name_H-M 'R -3 m'
_symmetry_Int_Tables_number 166
_symmetry_space_group_name_Hall '-R 3 2"'
_cell_length_a 4.0850
_cell_length_b 4.0850
_cell_length_c 31.9698
_cell_angle_alpha 90.00
_cell_angle_beta 90.00
_cell_angle_gamma 120.00
loop_
_atom_site_label
_atom_site_fract_x
_atom_site_fract_y
_atom_site_fract_z
Li1 0.0000 0.0000 0.1945
Th1 0.0000 0.0000 0.3787
Se1 0.0000 0.0000 0.1121
N1 0.0000 0.0000 0.3050
```